Starting from the GGA-PBE geometry in Alexandria, the XRD peak list of CeDy6Ho3 was simulated for Cu Kα.

Crystal structure
```
data_CeDy6Ho3
_chemical_formula_sum 'Ce1 Dy6 Ho3'
_space_group_name_H-M_alt 'P -1'
_space_group_IT_number 2
_cell_length_a 6.1235
_cell_length_b 6.1257
_cell_length_c 9.3551
_cell_angle_alpha 70.89
_cell_angle_beta 70.93
_cell_angle_gamma 80.29
loop_
_space_group_symop_operation_xyz
'x,y,z'
'-x,-y,-z'
loop_
_atom_site_label
_atom_site_fract_x
_atom_site_fract_y
_atom_site_fract_z
_atom_site_occupancy
Ce1 0.0000 0.0000 0.0000 1
Dy1 0.1990 0.0020 0.6015 1
Dy2 0.2963 0.4995 0.9005 1
Dy3 0.4007 0.9991 0.1998 1
Ho1 0.0983 0.5023 0.2995 1
Ho2 0.5000 0.5000 0.5000 1
```

Largest 10 diffraction maxima, by angle, 2θ from 10° to 90°:
2θ 30.97, 2.887 Å, intensity 100, hkl 2 1 1
2θ 35.92, 2.500 Å, intensity 51, hkl 1 2 3
2θ 51.70, 1.768 Å, intensity 36, hkl 3 1 4
2θ 61.47, 1.508 Å, intensity 28, hkl 3 3 4
2θ 61.56, 1.506 Å, intensity 14, hkl 4 0 2
2θ 64.56, 1.444 Å, intensity 12, hkl 4 2 2
2θ 84.38, 1.148 Å, intensity 6, hkl 5 1 0
2θ 84.47, 1.147 Å, intensity 12, hkl 5 2 5
2θ 87.13, 1.119 Å, intensity 8, hkl 3 5 4
2θ 87.25, 1.117 Å, intensity 7, hkl 5 0 5

Starting from the GGA-PBE geometry in Alexandria, the XRD peak list of BaAcLa2S4 was simulated for Cu Kα.

Crystal structure
```
data_BaAcLa2S4
_chemical_formula_sum 'Ba1 Ac1 La2 S4'
_space_group_name_H-M_alt 'P 1 2/m 1'
_space_group_IT_number 10
_cell_length_a 7.4109
_cell_length_b 4.2518
_cell_length_c 7.4492
_cell_angle_alpha 90.00
_cell_angle_beta 109.07
_cell_angle_gamma 90.00
loop_
_space_group_symop_operation_xyz
'x,y,z'
'-x,-y,-z'
'-x,y,-z'
'x,-y,z'
loop_
_atom_site_label
_atom_site_fract_x
_atom_site_fract_y
_atom_site_fract_z
_atom_site_occupancy
Ba1 0.0000 0.0000 0.0000 1
Ac1 0.5000 0.5000 0.0000 1
La1 0.0000 0.5000 0.5000 1
La2 0.5000 0.0000 0.5000 1
S1 0.2511 0.0000 0.7360 1
S2 0.2631 0.5000 0.2696 1
```

Largest 10 diffraction maxima, by angle, 2θ from 10° to 90°:
2θ 25.30, 3.520 Å, intensity 20, hkl 0 0 2
2θ 25.43, 3.502 Å, intensity 20, hkl 2 0 0
2θ 25.61, 3.479 Å, intensity 39, hkl 1 1 -1
2θ 29.51, 3.027 Å, intensity 100, hkl 1 1 1
2θ 41.91, 2.156 Å, intensity 12, hkl 2 0 2
2θ 42.15, 2.144 Å, intensity 25, hkl 1 1 -3
2θ 42.31, 2.136 Å, intensity 25, hkl 3 1 -1
2θ 42.52, 2.126 Å, intensity 12, hkl 0 2 0
2θ 50.08, 1.822 Å, intensity 17, hkl 0 2 2
2θ 52.62, 1.739 Å, intensity 13, hkl 2 2 -2

Starting from the GGA-PBE geometry in Alexandria, the XRD peak list of Dy3GeIr2 was simulated for Cu Kα.

Crystal structure
```
data_Dy3GeIr2
_chemical_formula_sum 'Dy12 Ge4 Ir8'
_space_group_name_H-M_alt 'P n m a'
_space_group_IT_number 62
_cell_length_a 11.6681
_cell_length_b 3.9589
_cell_length_c 11.8467
_cell_angle_alpha 90.00
_cell_angle_beta 90.00
_cell_angle_gamma 90.00
loop_
_space_group_symop_operation_xyz
'x,y,z'
'-x,-y,-z'
'-x+1/2,-y,z+1/2'
'x+1/2,y,-z+1/2'
'x+1/2,-y+1/2,-z+1/2'
'-x+1/2,y+1/2,z+1/2'
'-x,y+1/2,-z'
'x,-y+1/2,z'
loop_
_atom_site_label
_atom_site_fract_x
_atom_site_fract_y
_atom_site_fract_z
_atom_site_occupancy
Dy1 0.0513 0.2500 0.1199 1
Dy2 0.1283 0.7500 0.5653 1
Dy3 0.1990 0.2500 0.8180 1
Ge1 0.1229 0.2500 0.3664 1
Ir1 0.0090 0.7500 0.3086 1
Ir2 0.1879 0.7500 0.9893 1
```

Largest 10 diffraction maxima, by angle, 2θ from 10° to 90°:
2θ 31.19, 2.868 Å, intensity 89, hkl 2 1 2
2θ 31.59, 2.832 Å, intensity 35, hkl 4 0 1
2θ 32.01, 2.796 Å, intensity 86, hkl 0 1 3
2θ 32.94, 2.719 Å, intensity 52, hkl 1 1 3
2θ 35.74, 2.513 Å, intensity 100, hkl 3 1 2
2θ 39.10, 2.304 Å, intensity 39, hkl 4 1 1
2θ 41.10, 2.196 Å, intensity 46, hkl 2 1 4
2θ 41.36, 2.183 Å, intensity 41, hkl 4 1 2
2θ 44.78, 2.024 Å, intensity 70, hkl 3 0 5
2θ 45.84, 1.980 Å, intensity 63, hkl 0 2 0